# Sr2Ge2O5
Simulated X-ray powder pattern, λ = 1.5418 Å (Cu Kα). Input: a structure optimized by DFT (PBE).
Peak positions follow from Bragg's law for the DFT cell and can differ from measured ones.

Top 8 peaks for 10° ≤ 2θ ≤ 80°, most intense first:
2θ (°)  d/Å  I_rel
33.10  2.707  100
31.37  2.852  46
56.94  1.617  42
44.95  2.017  36
69.45  1.353  17
60.19  1.537  15
49.96  1.825  12
65.45  1.426  11

Cell lengths 4.0331, 4.0331, 7.3016 Å; angles 90.00, 90.00, 90.00 degrees
Space group P4/mmm (No. 123)
One atom of each set of equivalent atoms:
Sr 0.0000 0.0000 0.0000
Sr 0.0000 0.0000 0.5000
Ge 0.5000 0.5000 0.2409
O 0.0000 0.5000 0.2329
O 0.5000 0.5000 0.5000



# LiScSn
Simulated X-ray powder pattern, λ = 1.5418 Å (Cu Kα). Input: a structure optimized by DFT (PBE).
Peak positions follow from Bragg's law for the DFT cell and can differ from measured ones.

Top 8 peaks for 10° ≤ 2θ ≤ 80°, most intense first:
2θ (°)  d/Å  I_rel
22.81  3.898  100
37.69  2.387  78
44.51  2.036  52
68.03  1.378  28
59.70  1.549  22
26.40  3.376  22
72.79  1.299  17
54.36  1.688  13

Cell lengths 6.7512, 6.7512, 6.7512 Å; angles 90.00, 90.00, 90.00 degrees
Space group F-43m (No. 216)
One atom of each set of equivalent atoms:
Li 0.0000 0.0000 0.0000
Sc 0.2500 0.2500 0.7500
Sn 0.0000 0.0000 0.5000



# ReC2
Simulated X-ray powder pattern, λ = 1.5418 Å (Cu Kα). Input: a structure optimized by DFT (PBE).
Peak positions follow from Bragg's law for the DFT cell and can differ from measured ones.

Top 8 peaks for 10° ≤ 2θ ≤ 80°, most intense first:
2θ (°)  d/Å  I_rel
42.53  2.126  100
21.87  4.063  77
36.01  2.494  67
58.60  1.575  39
69.22  1.357  21
64.74  1.440  16
44.60  2.032  12
76.37  1.247  8

Cell lengths 2.8799, 2.8799, 4.0635 Å; angles 90.00, 90.00, 120.00 degrees
Space group P-6m2 (No. 187)
One atom of each set of equivalent atoms:
Re 0.0000 0.0000 0.0000
C 0.3333 0.6667 0.3293



# Cs2NaAs7
Simulated X-ray powder pattern, λ = 1.5418 Å (Cu Kα). Input: a structure optimized by DFT (PBE).
Peak positions follow from Bragg's law for the DFT cell and can differ from measured ones.

Top 8 peaks for 10° ≤ 2θ ≤ 80°, most intense first:
2θ (°)  d/Å  I_rel
26.30  3.389  100
26.98  3.305  97
13.73  6.451  83
28.04  3.182  60
25.00  3.562  58
32.32  2.770  53
27.66  3.226  50
33.76  2.655  46

Cell lengths 12.0838, 11.2643, 10.3713 Å; angles 90.00, 90.01, 90.00 degrees
Space group P2_1/c (No. 14)
One atom of each set of equivalent atoms:
Cs 0.0132 0.1966 0.4590
Cs 0.2668 0.5021 0.3564
Na 0.4601 0.6909 0.9458
As 0.0968 0.0006 0.1760
As 0.2102 0.6504 0.7837
As 0.2215 0.1649 0.1853
As 0.2558 0.5445 0.9849
As 0.3291 0.1352 0.3969
As 0.3871 0.6351 0.6686
As 0.4149 0.0752 0.1845



# SrHfNbInO6
Simulated X-ray powder pattern, λ = 1.5418 Å (Cu Kα). Input: a structure optimized by DFT (PBE).
Peak positions follow from Bragg's law for the DFT cell and can differ from measured ones.

Top 8 peaks for 10° ≤ 2θ ≤ 80°, most intense first:
2θ (°)  d/Å  I_rel
30.68  2.914  100
54.55  1.682  40
43.94  2.060  31
63.89  1.457  19
72.54  1.303  17
18.65  4.758  7
21.56  4.121  6
36.15  2.485  5

Cell lengths 8.2416, 8.2416, 8.2416 Å; angles 90.00, 90.00, 90.00 degrees
Space group F-43m (No. 216)
One atom of each set of equivalent atoms:
Sr 0.0000 0.0000 0.0000
Hf 0.2500 0.2500 0.2500
Nb 0.2500 0.2500 0.7500
In 0.0000 0.0000 0.5000
O 0.0042 0.2500 0.7500



# CeAl8Fe4
Simulated X-ray powder pattern, λ = 1.5418 Å (Cu Kα). Input: a structure optimized by DFT (PBE).
Peak positions follow from Bragg's law for the DFT cell and can differ from measured ones.

Top 8 peaks for 10° ≤ 2θ ≤ 80°, most intense first:
2θ (°)  d/Å  I_rel
41.26  2.188  100
41.45  2.178  69
28.88  3.092  66
35.57  2.524  30
14.30  6.192  26
20.38  4.357  25
59.90  1.544  24
32.33  2.769  17

Cell lengths 8.7568, 8.7568, 5.0226 Å; angles 90.00, 90.00, 90.00 degrees
Space group I4/mmm (No. 139)
One atom of each set of equivalent atoms:
Ce 0.0000 0.0000 0.0000
Al 0.0000 0.2217 0.5000
Al 0.0000 0.3428 0.0000
Fe 0.2500 0.2500 0.2500